This entry pairs a crystal structure of Mg3Al18Cr2 with its calculated PXRD pattern. Radiation: Cu Kα (λ = 1.5418 Å). Structure: a structure optimized by DFT (GGA-PBE).
Intensities are scaled so that the largest is 100.

Peak list (10 most intense, 2θ from 10° to 90°, low angle first)
2θ = 10.6°, d 8.364, intensity 54; 2θ = 36.7°, d 2.449, intensity 40; 2θ = 39.3°, d 2.290, intensity 27; 2θ = 40.8°, d 2.209, intensity 72; 2θ = 41.3°, d 2.184, intensity 100; 2θ = 43.3°, d 2.091, intensity 32; 2θ = 44.7°, d 2.028, intensity 49; 2θ = 67.2°, d 1.394, intensity 24; 2θ = 74.0°, d 1.280, intensity 40; 2θ = 77.7°, d 1.229, intensity 20

Unit cell a=14.4862 b=14.4862 c=14.4862 alpha=90.00 beta=90.00 gamma=90.00
Space group Fd-3m (No. 227, origin choice 2)
Symmetry-distinct sites (fractional):
Mg 0.0000 0.0000 0.0000
Mg 0.1250 0.1250 0.1250
Al 0.0145 0.3750 0.8750
Al 0.0583 0.0583 0.3255
Cr 0.0000 0.0000 0.5000

=====

This entry pairs a crystal structure of Mg14AlCr with its calculated PXRD pattern. Radiation: Cu Kα (λ = 1.5418 Å). Structure: a structure optimized by DFT (GGA-PBE).
Intensities are scaled so that the largest is 100.

Peak list (10 most intense, 2θ from 10° to 90°, low angle first)
2θ = 33.0°, d 2.712, intensity 24; 2θ = 34.9°, d 2.572, intensity 27; 2θ = 37.5°, d 2.399, intensity 100; 2θ = 48.8°, d 1.866, intensity 15; 2θ = 59.0°, d 1.567, intensity 11; 2θ = 59.1°, d 1.564, intensity 6; 2θ = 64.3°, d 1.449, intensity 18; 2θ = 70.4°, d 1.337, intensity 19; 2θ = 71.9°, d 1.312, intensity 4; 2θ = 72.1°, d 1.311, intensity 9

Unit cell a=10.2868 b=6.2565 c=10.8590 alpha=90.00 beta=90.00 gamma=90.00
Space group Amm2 (No. 38)
Symmetry-distinct sites (fractional):
Mg 0.0000 0.0000 0.9998
Mg 0.0000 0.0000 0.5000
Mg 0.0000 0.2502 0.2508
Mg 0.2532 0.0000 0.1650
Mg 0.2529 0.0000 0.6651
Mg 0.2585 0.2502 0.4191
Mg 0.5000 0.2490 0.2494
Al 0.5000 0.0000 0.5009
Cr 0.5000 0.0000 0.0011

=====

This entry pairs a crystal structure of Mg6AlCr with its calculated PXRD pattern. Radiation: Cu Kα (λ = 1.5418 Å). Structure: a structure optimized by DFT (GGA-PBE).
Intensities are scaled so that the largest is 100.

Peak list (10 most intense, 2θ from 10° to 90°, low angle first)
2θ = 33.2°, d 2.695, intensity 13; 2θ = 33.7°, d 2.662, intensity 25; 2θ = 35.9°, d 2.500, intensity 40; 2θ = 37.9°, d 2.372, intensity 52; 2θ = 38.3°, d 2.350, intensity 100; 2θ = 50.1°, d 1.822, intensity 16; 2θ = 59.7°, d 1.549, intensity 17; 2θ = 66.1°, d 1.413, intensity 18; 2θ = 71.7°, d 1.317, intensity 19; 2θ = 73.7°, d 1.286, intensity 13

Unit cell a=5.0010 b=6.1218 c=10.7790 alpha=90.00 beta=90.00 gamma=90.00
Space group Amm2 (No. 38)
Symmetry-distinct sites (fractional):
Mg 0.0000 0.0000 0.0000
Mg 0.0000 0.0000 0.4987
Mg 0.0000 0.2478 0.2543
Mg 0.5000 0.2492 0.5853
Al 0.5000 0.0000 0.8355
Cr 0.5000 0.0000 0.3358

=====

This entry pairs a crystal structure of Mg14AlCr with its calculated PXRD pattern. Radiation: Cu Kα (λ = 1.5418 Å). Structure: a structure optimized by DFT (GGA-PBE).
Intensities are scaled so that the largest is 100.

Peak list (10 most intense, 2θ from 10° to 90°, low angle first)
2θ = 18.5°, d 4.795, intensity 3; 2θ = 33.1°, d 2.710, intensity 24; 2θ = 34.9°, d 2.571, intensity 27; 2θ = 37.5°, d 2.397, intensity 100; 2θ = 48.8°, d 1.865, intensity 15; 2θ = 59.0°, d 1.565, intensity 17; 2θ = 64.3°, d 1.448, intensity 19; 2θ = 70.5°, d 1.337, intensity 19; 2θ = 72.1°, d 1.310, intensity 13; 2θ = 80.1°, d 1.199, intensity 3

Unit cell a=6.2586 b=6.2586 c=10.2825 alpha=90.00 beta=90.00 gamma=120.00
Space group P-6m2 (No. 187)
Symmetry-distinct sites (fractional):
Mg 0.0000 0.0000 0.2500
Mg 0.0036 0.5018 0.2503
Mg 0.3325 0.1662 0.0000
Mg 0.3336 0.1668 0.5000
Al 0.3333 0.6667 0.0000
Cr 0.3333 0.6667 0.5000

=====

This entry pairs a crystal structure of Mg6AlCr with its calculated PXRD pattern. Radiation: Cu Kα (λ = 1.5418 Å). Structure: a structure optimized by DFT (GGA-PBE).
Intensities are scaled so that the largest is 100.

Peak list (10 most intense, 2θ from 10° to 90°, low angle first)
2θ = 33.2°, d 2.696, intensity 27; 2θ = 33.5°, d 2.678, intensity 11; 2θ = 36.5°, d 2.459, intensity 38; 2θ = 38.1°, d 2.364, intensity 100; 2θ = 38.3°, d 2.352, intensity 51; 2θ = 50.2°, d 1.817, intensity 16; 2θ = 59.7°, d 1.550, intensity 17; 2θ = 66.8°, d 1.401, intensity 17; 2θ = 72.0°, d 1.311, intensity 18; 2θ = 72.7°, d 1.300, intensity 14

Unit cell a=4.9184 b=6.2413 c=10.7111 alpha=90.00 beta=90.00 gamma=90.00
Space group Amm2 (No. 38)
Symmetry-distinct sites (fractional):
Mg 0.0000 0.0000 0.0000
Mg 0.0000 0.2445 0.2533
Mg 0.5000 0.0000 0.8337
Mg 0.5000 0.2456 0.5827
Al 0.0000 0.0000 0.4940
Cr 0.5000 0.0000 0.3399

=====

This entry pairs a crystal structure of MgAlCrS4 with its calculated PXRD pattern. Radiation: Cu Kα (λ = 1.5418 Å). Structure: a structure optimized by DFT (GGA-PBE).
Intensities are scaled so that the largest is 100.

Peak list (10 most intense, 2θ from 10° to 90°, low angle first)
2θ = 15.0°, d 5.899, intensity 62; 2θ = 28.9°, d 3.088, intensity 52; 2θ = 35.1°, d 2.558, intensity 100; 2θ = 46.1°, d 1.971, intensity 17; 2θ = 46.1°, d 1.967, intensity 31; 2θ = 50.3°, d 1.815, intensity 17; 2θ = 50.5°, d 1.809, intensity 67; 2θ = 50.7°, d 1.802, intensity 16; 2θ = 74.1°, d 1.279, intensity 13; 2θ = 84.7°, d 1.144, intensity 13

Unit cell a=7.2089 b=7.2595 c=10.2318 alpha=90.00 beta=90.00 gamma=90.00
Space group Imma (No. 74)
Symmetry-distinct sites (fractional):
Mg 0.0000 0.2500 0.1260
Al 0.2500 0.2500 0.7500
Cr 0.0000 0.0000 0.5000
S 0.0000 0.0245 0.7374
S 0.2240 0.2500 0.5130